Structure and computed X-ray powder pattern of Ba4RuO5 (a DFT-relaxed cell (PBE, Alexandria); copper Kα).
Kinematic intensities with the Lorentz-polarization factor, no thermal factor.

Top 10 peaks for 10 to 90 degrees two-theta, low angle first:
| d [Å] | two_theta | intensity | hkl |
| --- | --- | --- | --- |
| 3.091 | 28.89 | 100 | 2 1 1 |
| 2.804 | 31.91 | 31 | 0 0 2 |
| 2.619 | 34.24 | 52 | 1 3 0 |
| 1.914 | 47.50 | 39 | 1 3 2 |
| 1.852 | 49.21 | 17 | 4 2 0 |
| 1.669 | 55.02 | 18 | 2 1 3 |
| 1.588 | 58.07 | 30 | 5 0 1 |
| 1.545 | 59.85 | 18 | 4 2 2 |
| 1.240 | 76.90 | 14 | 5 0 3 |
| 1.236 | 77.16 | 9 | 1 3 4 |

Structure:
Unit cell a=8.2812 b=8.2812 c=5.6089 alpha=90.00 beta=90.00 gamma=90.00
Space group I4 (No. 79)
Inequivalent atoms, fractional coordinates:
Ba  0.1033  0.2917  0.0000 (multiplicity 8)
Ru  0.0000  0.0000  0.4948 (multiplicity 2)
O  0.0000  0.0000  0.1041 (multiplicity 2)
O  0.0867  0.2624  0.5063 (multiplicity 8)